[1]
The following is a calculated powder XRD pattern of CeErCu. It was derived from a structure optimized by DFT (GGA-PBE), using copper Kα.
Peak positions follow from Bragg's law for the DFT cell and can differ from measured ones.

The 6 most intense peaks (2θ from 15° to 90°), in order of rising 2θ:
- 2θ 27.84, I = 26
- 2θ 30.96, I = 25
- 2θ 36.42, I = 100
- 2θ 37.81, I = 25
- 2θ 67.36, I = 16
- 2θ 68.80, I = 18

Unit cell a=3.330 b=17.335 c=4.759 alpha=90.00 beta=90.00 gamma=90.00
Fractional positions:
Ce: 0.000 0.220 0.250
Ce: 0.000 0.780 0.750
Ce: 0.500 0.280 0.750
Ce: 0.500 0.720 0.250
Er: 0.000 0.076 0.750
Er: 0.000 0.924 0.250
Er: 0.500 0.424 0.250
Er: 0.500 0.576 0.750
Cu: 0.000 0.443 0.750
Cu: 0.000 0.557 0.250
Cu: 0.500 0.057 0.250
Cu: 0.500 0.943 0.750

[2]
The following is a calculated powder XRD pattern of K3Tm2Cl9. It was derived from a structure optimized by DFT (GGA-PBE), using copper Kα.
Peak positions follow from Bragg's law for the DFT cell and can differ from measured ones.

The 6 most intense peaks (2θ from 15° to 90°), in order of rising 2θ:
- 2θ 21.13, I = 73
- 2θ 23.99, I = 86
- 2θ 25.32, I = 56
- 2θ 28.94, I = 54
- 2θ 31.53, I = 100
- 2θ 40.96, I = 74

Unit cell a=9.576 b=9.576 c=9.576 alpha=84.29 beta=84.29 gamma=84.29
Fractional positions:
K: 0.067 0.750 0.433
K: 0.250 0.567 0.933
K: 0.433 0.067 0.750
K: 0.567 0.933 0.250
K: 0.750 0.433 0.067
K: 0.933 0.250 0.567
Tm: 0.148 0.148 0.148
Tm: 0.352 0.352 0.352
Tm: 0.648 0.648 0.648
Tm: 0.852 0.852 0.852
Cl: 0.069 0.274 0.921
Cl: 0.079 0.931 0.726
Cl: 0.096 0.404 0.250
Cl: 0.226 0.431 0.579
Cl: 0.250 0.096 0.404
Cl: 0.274 0.921 0.069
Cl: 0.404 0.250 0.096
Cl: 0.421 0.774 0.569
Cl: 0.431 0.579 0.226
Cl: 0.569 0.421 0.774
Cl: 0.579 0.226 0.431
Cl: 0.596 0.750 0.904
Cl: 0.726 0.079 0.931
Cl: 0.750 0.904 0.596
Cl: 0.774 0.569 0.421
Cl: 0.904 0.596 0.750
Cl: 0.921 0.069 0.274
Cl: 0.931 0.726 0.079

[3]
The following is a calculated powder XRD pattern of NdYZr. It was derived from a structure optimized by DFT (GGA-PBE), using copper Kα.
Peak positions follow from Bragg's law for the DFT cell and can differ from measured ones.

The 6 most intense peaks (2θ from 15° to 90°), in order of rising 2θ:
- 2θ 31.57, I = 100
- 2θ 35.63, I = 16
- 2θ 37.10, I = 33
- 2θ 52.38, I = 21
- 2θ 53.48, I = 11
- 2θ 63.44, I = 26

Unit cell a=3.427 b=3.427 c=15.121 alpha=90.00 beta=90.00 gamma=90.00
Fractional positions:
Nd: 0.000 0.000 0.000
Nd: 0.500 0.500 0.500
Y: 0.000 0.000 0.690
Y: 0.500 0.500 0.190
Zr: 0.000 0.000 0.341
Zr: 0.500 0.500 0.841

[4]
The following is a calculated powder XRD pattern of BaNaSn2Bi. It was derived from a structure optimized by DFT (GGA-PBE), using copper Kα.
Peak positions follow from Bragg's law for the DFT cell and can differ from measured ones.

The 6 most intense peaks (2θ from 15° to 90°), in order of rising 2θ:
- 2θ 25.22, I = 53
- 2θ 26.06, I = 61
- 2θ 28.40, I = 100
- 2θ 35.05, I = 43
- 2θ 36.43, I = 44
- 2θ 37.48, I = 44

Unit cell a=4.878 b=5.120 c=13.780 alpha=90.00 beta=90.00 gamma=90.00
Fractional positions:
Ba: 0.000 0.000 0.000
Ba: 0.500 0.500 0.500
Na: 0.000 0.500 0.748
Na: 0.500 0.000 0.248
Sn: 0.000 0.000 0.616
Sn: 0.000 0.500 0.246
Sn: 0.500 0.000 0.746
Sn: 0.500 0.500 0.116
Bi: 0.000 0.000 0.394
Bi: 0.500 0.500 0.894

[5]
The following is a calculated powder XRD pattern of DyY6Zr. It was derived from a structure optimized by DFT (GGA-PBE), using copper Kα.
Peak positions follow from Bragg's law for the DFT cell and can differ from measured ones.

The 6 most intense peaks (2θ from 15° to 90°), in order of rising 2θ:
- 2θ 31.18, I = 100
- 2θ 36.09, I = 33
- 2θ 36.30, I = 16
- 2θ 52.11, I = 28
- 2θ 61.80, I = 13
- 2θ 61.91, I = 13

Unit cell a=6.069 b=6.084 c=7.050 alpha=106.81 beta=90.01 gamma=99.78
Fractional positions:
Dy: 0.000 0.000 0.000
Y: 0.241 0.496 0.378
Y: 0.246 0.487 0.867
Y: 0.499 0.000 0.258
Y: 0.501 0.000 0.742
Y: 0.754 0.513 0.133
Y: 0.759 0.504 0.622
Zr: 0.000 0.000 0.500

[6]
The following is a calculated powder XRD pattern of MgGa5Ru6. It was derived from a structure optimized by DFT (GGA-PBE), using copper Kα.
Peak positions follow from Bragg's law for the DFT cell and can differ from measured ones.

The 6 most intense peaks (2θ from 15° to 90°), in order of rising 2θ:
- 2θ 16.08, I = 2
- 2θ 29.32, I = 7
- 2θ 41.95, I = 100
- 2θ 60.83, I = 16
- 2θ 68.94, I = 2
- 2θ 76.63, I = 31

Unit cell a=7.463 b=7.463 c=7.463 alpha=146.48 beta=131.79 gamma=59.99
Fractional positions:
Mg: 0.000 0.000 0.000
Ga: 0.158 0.658 0.500
Ga: 0.332 0.332 0.000
Ga: 0.500 0.000 0.500
Ga: 0.668 0.668 0.000
Ga: 0.842 0.342 0.500
Ru: 0.085 0.827 0.258
Ru: 0.264 0.500 0.764
Ru: 0.431 0.173 0.258
Ru: 0.569 0.827 0.742
Ru: 0.736 0.500 0.236
Ru: 0.915 0.173 0.742

[7]
The following is a calculated powder XRD pattern of Ce2Tc3C4. It was derived from a structure optimized by DFT (GGA-PBE), using copper Kα.
Peak positions follow from Bragg's law for the DFT cell and can differ from measured ones.

The 6 most intense peaks (2θ from 15° to 90°), in order of rising 2θ:
- 2θ 26.77, I = 37
- 2θ 31.26, I = 100
- 2θ 37.29, I = 72
- 2θ 42.39, I = 27
- 2θ 43.60, I = 50
- 2θ 65.21, I = 29

Unit cell a=6.828 b=6.081 c=5.170 alpha=74.23 beta=58.99 gamma=46.78
Fractional positions:
Ce: 0.173 0.173 0.827
Ce: 0.827 0.827 0.173
Tc: 0.000 0.000 0.500
Tc: 0.500 0.500 0.000
Tc: 0.500 0.500 0.500
C: 0.186 0.547 0.453
C: 0.453 0.814 0.186
C: 0.547 0.186 0.814
C: 0.814 0.453 0.547

[8]
The following is a calculated powder XRD pattern of Sr4ErRu3O12. It was derived from a structure optimized by DFT (GGA-PBE), using copper Kα.
Peak positions follow from Bragg's law for the DFT cell and can differ from measured ones.

The 6 most intense peaks (2θ from 15° to 90°), in order of rising 2θ:
- 2θ 21.86, I = 8
- 2θ 31.11, I = 100
- 2θ 44.57, I = 32
- 2θ 55.35, I = 40
- 2θ 64.87, I = 20
- 2θ 73.69, I = 17

Unit cell a=7.042 b=7.042 c=7.042 alpha=109.47 beta=109.47 gamma=109.47
Fractional positions:
Sr: 0.000 0.000 0.500
Sr: 0.000 0.500 0.000
Sr: 0.500 0.000 0.000
Sr: 0.500 0.500 0.500
Er: 0.000 0.000 0.000
Ru: 0.000 0.500 0.500
Ru: 0.500 0.000 0.500
Ru: 0.500 0.500 0.000
O: 0.000 0.262 0.262
O: 0.000 0.738 0.738
O: 0.250 0.500 0.750
O: 0.250 0.750 0.500
O: 0.262 0.000 0.262
O: 0.262 0.262 0.000
O: 0.500 0.250 0.750
O: 0.500 0.750 0.250
O: 0.738 0.000 0.738
O: 0.738 0.738 0.000
O: 0.750 0.250 0.500
O: 0.750 0.500 0.250